(1)
# Na3TbO3
Simulated powder diffraction line list, a wavelength of 1.5418 Å. Input: DFT lattice parameters and positions (PBE).

Main lines, by angle (10° ≤ 2θ ≤ 90°):
| 2θ (°) | intensity |
| --- | --- |
| 15.48 | 100.0 |
| 17.86 | 36.8 |
| 30.64 | 31.8 |
| 31.25 | 28.2 |
| 31.96 | 24.7 |
| 36.89 | 46.8 |

Cell and atoms:
Cell lengths 6.781, 7.006, 9.933 Å; angles 90.00, 90.00, 90.00 degrees
Space group Imma (No. 74)
Inequivalent atoms, fractional coordinates:
Na 0.000 0.250 0.223 x4
Na 0.218 0.000 0.000 x8
Tb 0.000 0.250 0.779 x4
O 0.000 0.250 0.991 x4
O 0.250 0.030 0.750 x8


(2)
# Na2TbO3
Simulated powder diffraction line list, a wavelength of 1.5418 Å. Input: DFT lattice parameters and positions (PBE).

Main lines, by angle (10° ≤ 2θ ≤ 90°):
| 2θ (°) | intensity |
| --- | --- |
| 15.89 | 100.0 |
| 30.35 | 53.5 |
| 31.76 | 69.6 |
| 36.89 | 80.2 |
| 37.03 | 39.8 |
| 53.00 | 40.6 |

Cell and atoms:
Cell lengths 5.978, 10.377, 11.339 Å; angles 90.00, 100.34, 90.00 degrees
Space group C2/c (No. 15)
Inequivalent atoms, fractional coordinates:
Na 0.000 0.085 0.250 x4
Na 0.239 0.080 0.000 x8
Na 0.250 0.250 0.500 x4
Tb 0.000 0.248 0.750 x4
Tb 0.000 0.418 0.250 x4
O 0.099 0.415 0.639 x8
O 0.143 0.096 0.636 x8
O 0.143 0.267 0.139 x8


(3)
# Na5TbO6
Simulated powder diffraction line list, a wavelength of 1.5418 Å. Input: DFT lattice parameters and positions (PBE).

Main lines, by angle (10° ≤ 2θ ≤ 90°):
| 2θ (°) | intensity |
| --- | --- |
| 16.07 | 37.9 |
| 17.38 | 43.6 |
| 18.94 | 39.3 |
| 31.89 | 34.8 |
| 37.16 | 100.0 |
| 53.95 | 30.4 |

Cell and atoms:
Cell lengths 5.959, 10.351, 11.206 Å; angles 90.00, 100.22, 90.00 degrees
Space group C2/c (No. 15)
Inequivalent atoms, fractional coordinates:
Na 0.000 0.083 0.250 x4
Na 0.000 0.250 0.750 x4
Na 0.235 0.089 0.000 x8
Na 0.250 0.250 0.500 x4
Tb 0.000 0.414 0.250 x4
O 0.114 0.430 0.634 x8
O 0.116 0.262 0.131 x8
O 0.151 0.083 0.631 x8